1.
Theoretical powder diffractogram
Compound: RbGaRuO6
Radiation: Cu Kα
Structure: a cell relaxed with PBE
Kinematic intensities with the Lorentz-polarization factor, no thermal factor.

Principal peaks in the range 15 to 90 degrees two-theta, by angle:
2θ = 24.17°, 3.682 Å, rel. 100
2θ = 33.98°, 2.638 Å, rel. 28
2θ = 42.14°, 2.144 Å, rel. 15
2θ = 45.07°, 2.011 Å, rel. 40
2θ = 48.22°, 1.887 Å, rel. 11
2θ = 55.20°, 1.664 Å, rel. 19

```
RbGaRuO6
1.0
5.2759 0.0000 0.0000
-2.6380 4.5691 0.0000
0.0000 0.0000 6.2171
Rb Ga Ru O
1 1 1 6
direct
0.0000 0.0000 0.0000
0.3333 0.6667 0.4503
0.6667 0.3333 0.5104
0.4040 0.0078 0.6581
0.4260 0.3997 0.3053
0.6003 0.0263 0.3053
0.6038 0.5960 0.6581
0.9737 0.5740 0.3053
0.9922 0.3962 0.6581
```

2.
Theoretical powder diffractogram
Compound: RbGaS2O8
Radiation: Cu Kα
Structure: a cell relaxed with PBE
Kinematic intensities with the Lorentz-polarization factor, no thermal factor.

Principal peaks in the range 15 to 90 degrees two-theta, by angle:
2θ = 20.57°, 4.318 Å, rel. 46
2θ = 23.10°, 3.851 Å, rel. 57
2θ = 29.46°, 3.031 Å, rel. 100
2θ = 36.03°, 2.493 Å, rel. 42
2θ = 47.20°, 1.925 Å, rel. 31
2θ = 60.78°, 1.524 Å, rel. 24

```
RbGaS2O8
1.0
4.9857 0.0000 0.0000
-2.4929 4.3178 0.0000
0.0000 0.0000 8.5145
Rb Ga S O
1 1 2 8
direct
0.0000 0.0000 0.0000
0.0000 0.0000 0.5000
0.3333 0.6667 0.7046
0.6667 0.3333 0.2954
0.1096 0.3488 0.6468
0.2392 0.8904 0.6468
0.3333 0.6667 0.8760
0.3488 0.1096 0.3532
0.6512 0.7608 0.6468
0.6667 0.3333 0.1240
0.7608 0.6512 0.3532
0.8904 0.2392 0.3532
```

3.
Theoretical powder diffractogram
Compound: Rb3ScGa2O6
Radiation: Cu Kα
Structure: a cell relaxed with PBE
Kinematic intensities with the Lorentz-polarization factor, no thermal factor.

Principal peaks in the range 15 to 90 degrees two-theta, by angle:
2θ = 29.61°, 3.017 Å, rel. 100
2θ = 29.89°, 2.989 Å, rel. 90
2θ = 42.57°, 2.124 Å, rel. 37
2θ = 52.53°, 1.742 Å, rel. 20
2θ = 52.71°, 1.737 Å, rel. 37
2θ = 61.46°, 1.509 Å, rel. 19

```
Rb3ScGa2O6
1.0
6.0345 0.0000 0.0000
-3.0172 5.2260 0.0000
0.0000 0.0000 7.2893
Rb Sc Ga O
3 1 2 6
direct
0.0000 0.0000 0.0000
0.3333 0.6667 0.7583
0.6667 0.3333 0.2417
0.0000 0.0000 0.5000
0.3333 0.6667 0.3230
0.6667 0.3333 0.6770
0.1624 0.3248 0.3159
0.1624 0.8376 0.3159
0.3248 0.1624 0.6841
0.6752 0.8376 0.3159
0.8376 0.1624 0.6841
0.8376 0.6752 0.6841
```

4.
Theoretical powder diffractogram
Compound: RbGa3Se4O12
Radiation: Cu Kα
Structure: a cell relaxed with PBE
Kinematic intensities with the Lorentz-polarization factor, no thermal factor.

Principal peaks in the range 15 to 90 degrees two-theta, by angle:
2θ = 27.88°, 3.200 Å, rel. 37
2θ = 29.00°, 3.079 Å, rel. 100
2θ = 29.20°, 3.058 Å, rel. 27
2θ = 36.95°, 2.433 Å, rel. 32
2θ = 48.10°, 1.892 Å, rel. 23
2θ = 48.49°, 1.877 Å, rel. 25

```
RbGa3Se4O12
1.0
5.2964 3.0579 2.7688
-5.2964 3.0579 2.7688
0.0000 -6.1158 2.7688
Rb Ga Se O
1 3 4 12
direct
0.0000 0.0000 0.0000
0.0000 0.5662 0.4338
0.4338 0.0000 0.5662
0.5662 0.4338 0.0000
0.0968 0.5000 0.9032
0.5000 0.5000 0.5000
0.5000 0.9032 0.0968
0.9032 0.0968 0.5000
0.0662 0.9338 0.5000
0.0730 0.2984 0.4042
0.2984 0.4042 0.0730
0.3046 0.6954 0.5000
0.4042 0.0730 0.2984
0.5000 0.0662 0.9338
0.5000 0.3046 0.6954
0.5958 0.7016 0.9270
0.6954 0.5000 0.3046
0.7016 0.9270 0.5958
0.9270 0.5958 0.7016
0.9338 0.5000 0.0662
```

5.
Theoretical powder diffractogram
Compound: Rb2GaTeO6
Radiation: Cu Kα
Structure: a cell relaxed with PBE
Kinematic intensities with the Lorentz-polarization factor, no thermal factor.

Principal peaks in the range 15 to 90 degrees two-theta, by angle:
2θ = 18.29°, 4.851 Å, rel. 25
2θ = 27.79°, 3.210 Å, rel. 31
2θ = 30.03°, 2.975 Å, rel. 100
2θ = 30.34°, 2.946 Å, rel. 37
2θ = 41.37°, 2.182 Å, rel. 24
2θ = 62.42°, 1.488 Å, rel. 20

```
Rb2GaTeO6
1.0
2.9755 1.7179 9.5753
-2.9755 1.7179 9.5753
0.0000 -3.4358 9.5753
Rb Ga Te O
4 2 2 12
direct
0.1294 0.1294 0.1294
0.2809 0.2809 0.2809
0.7191 0.7191 0.7191
0.8706 0.8706 0.8706
0.4031 0.4031 0.4031
0.5969 0.5969 0.5969
0.0000 0.0000 0.0000
0.5000 0.5000 0.5000
0.1688 0.5997 0.5997
0.1966 0.1966 0.7241
0.1966 0.7241 0.1966
0.2759 0.8034 0.8034
0.4003 0.4003 0.8312
0.4003 0.8312 0.4003
0.5997 0.1688 0.5997
0.5997 0.5997 0.1688
0.7241 0.1966 0.1966
0.8034 0.2759 0.8034
0.8034 0.8034 0.2759
0.8312 0.4003 0.4003
```

6.
Theoretical powder diffractogram
Compound: Rb2U3GaO12
Radiation: Cu Kα
Structure: a cell relaxed with PBE
Kinematic intensities with the Lorentz-polarization factor, no thermal factor.

Principal peaks in the range 15 to 90 degrees two-theta, by angle:
2θ = 26.37°, 3.379 Å, rel. 100
2θ = 27.00°, 3.303 Å, rel. 70
2θ = 27.79°, 3.210 Å, rel. 95
2θ = 45.65°, 1.987 Å, rel. 43
2θ = 48.71°, 1.869 Å, rel. 39
2θ = 55.66°, 1.651 Å, rel. 30

```
Rb2U3GaO12
1.0
3.9743 2.2946 5.9372
-3.9743 2.2946 5.9372
0.0000 -4.5891 5.9372
Rb U Ga O
2 3 1 12
direct
0.1275 0.1275 0.1275
0.8725 0.8725 0.8725
0.0000 0.5000 0.5000
0.5000 0.0000 0.5000
0.5000 0.5000 0.0000
0.5000 0.5000 0.5000
0.1783 0.1783 0.5631
0.1783 0.5631 0.1783
0.1968 0.5586 0.5586
0.4369 0.8217 0.8217
0.4414 0.4414 0.8032
0.4414 0.8032 0.4414
0.5586 0.1968 0.5586
0.5586 0.5586 0.1968
0.5631 0.1783 0.1783
0.8032 0.4414 0.4414
0.8217 0.4369 0.8217
0.8217 0.8217 0.4369
```